Entry 1:
Structure and calculated X-ray powder pattern of ZnTcW2 (a DFT-relaxed cell (GGA-PBE, Alexandria); Cu Kα, 1.54184 Å).

Top 10 peaks for 10 to 90 degrees two-theta, by angle:
d 3.951, I 17
d 2.967, I 6
d 2.218, I 100
d 2.208, I 49
d 1.575, I 9
d 1.564, I 8
d 1.559, I 8
d 1.282, I 17
d 1.278, I 16
d 1.276, I 16

Crystal structure
```
data_ZnTcW2
_space_group_name_H-M_alt 'P 1'
_space_group_IT_number 1
_space_group_name_Hall 'P 1'
_cell_length_a 9.8582
_cell_length_b 3.1502
_cell_length_c 4.4184
_cell_angle_alpha 90.00
_cell_angle_beta 116.45
_cell_angle_gamma 90.00
loop_
_atom_site_label
_atom_site_type_symbol
_atom_site_fract_x
_atom_site_fract_y
_atom_site_fract_z
Zn1 Zn 0.0000 0.0000 0.0000
Zn2 Zn 0.5000 0.5000 0.0000
Tc1 Tc 0.2565 0.5000 0.2554
Tc2 Tc 0.7565 0.0000 0.2554
W1 W 0.2370 0.0000 0.7366
W2 W 0.4954 0.0000 0.4953
W3 W 0.7370 0.5000 0.7366
W4 W 0.9954 0.5000 0.4953
```

***

Entry 2:
Structure and calculated X-ray powder pattern of ZnTcW2 (a DFT-relaxed cell (GGA-PBE, Alexandria); Cu Kα, 1.54184 Å).

Top 10 peaks for 10 to 90 degrees two-theta, by angle:
d 2.954, I 4
d 2.467, I 9
d 2.222, I 100
d 2.215, I 49
d 1.939, I 4
d 1.577, I 9
d 1.566, I 17
d 1.285, I 17
d 1.280, I 34
d 1.111, I 11

Crystal structure
```
data_ZnTcW2
_space_group_name_H-M_alt 'P 1'
_space_group_IT_number 1
_space_group_name_Hall 'P 1'
_cell_length_a 3.1544
_cell_length_b 4.4267
_cell_length_c 8.8630
_cell_angle_alpha 90.00
_cell_angle_beta 90.00
_cell_angle_gamma 90.00
loop_
_atom_site_label
_atom_site_type_symbol
_atom_site_fract_x
_atom_site_fract_y
_atom_site_fract_z
Zn1 Zn 0.0000 0.0000 0.0000
Zn2 Zn 0.5000 0.5000 0.0000
Tc1 Tc 0.0000 0.5000 0.2471
Tc2 Tc 0.5000 0.0000 0.2471
W1 W 0.0000 0.0000 0.4923
W2 W 0.0000 0.5000 0.7460
W3 W 0.5000 0.0000 0.7460
W4 W 0.5000 0.5000 0.4923
```

***

Entry 3:
Structure and calculated X-ray powder pattern of ZrTc3W2 (a DFT-relaxed cell (GGA-PBE, Alexandria); Cu Kα, 1.54184 Å).

Top 10 peaks for 10 to 90 degrees two-theta, by angle:
d 4.841, I 4
d 3.166, I 5
d 2.260, I 100
d 2.239, I 50
d 1.614, I 8
d 1.583, I 17
d 1.309, I 16
d 1.297, I 33
d 1.130, I 10
d 1.119, I 5

Crystal structure
```
data_ZrTc3W2
_space_group_name_H-M_alt 'P 1'
_space_group_IT_number 1
_space_group_name_Hall 'P 1'
_cell_length_a 3.1662
_cell_length_b 3.1662
_cell_length_c 9.6827
_cell_angle_alpha 90.00
_cell_angle_beta 90.00
_cell_angle_gamma 90.00
loop_
_atom_site_label
_atom_site_type_symbol
_atom_site_fract_x
_atom_site_fract_y
_atom_site_fract_z
Zr1 Zr 0.0000 0.0000 0.0000
Tc1 Tc 0.5000 0.5000 0.1815
Tc2 Tc 0.5000 0.5000 0.5000
Tc3 Tc 0.5000 0.5000 0.8185
W1 W 0.0000 0.0000 0.3353
W2 W 0.0000 0.0000 0.6647
```

***

Entry 4:
Structure and calculated X-ray powder pattern of Y2Tc (a DFT-relaxed cell (GGA-PBE, Alexandria); Cu Kα, 1.54184 Å).

Top 10 peaks for 10 to 90 degrees two-theta, by angle:
d 4.976, I 26
d 2.791, I 100
d 2.582, I 45
d 2.488, I 29
d 2.292, I 73
d 2.225, I 50
d 1.696, I 22
d 1.642, I 28
d 1.454, I 29
d 1.250, I 15

Crystal structure
```
data_Y2Tc
_space_group_name_H-M_alt 'P 1'
_space_group_IT_number 1
_space_group_name_Hall 'P 1'
_cell_length_a 7.0369
_cell_length_b 7.0369
_cell_length_c 6.0422
_cell_angle_alpha 90.00
_cell_angle_beta 90.00
_cell_angle_gamma 90.00
loop_
_atom_site_label
_atom_site_type_symbol
_atom_site_fract_x
_atom_site_fract_y
_atom_site_fract_z
Y1 Y 0.1756 0.3244 0.0000
Y2 Y 0.1756 0.6756 0.5000
Y3 Y 0.3244 0.1756 0.5000
Y4 Y 0.3244 0.8244 0.0000
Y5 Y 0.6756 0.1756 0.0000
Y6 Y 0.6756 0.8244 0.5000
Y7 Y 0.8244 0.3244 0.5000
Y8 Y 0.8244 0.6756 0.0000
Tc1 Tc 0.0000 0.0000 0.2500
Tc2 Tc 0.0000 0.0000 0.7500
Tc3 Tc 0.5000 0.5000 0.2500
Tc4 Tc 0.5000 0.5000 0.7500
```

***

Entry 5:
Structure and calculated X-ray powder pattern of Y4Tc (a DFT-relaxed cell (GGA-PBE, Alexandria); Cu Kα, 1.54184 Å).

Top 10 peaks for 10 to 90 degrees two-theta, by angle:
d 5.407, I 27
d 3.823, I 24
d 3.122, I 64
d 2.703, I 100
d 2.418, I 14
d 1.912, I 71
d 1.630, I 27
d 1.561, I 24
d 1.209, I 30
d 1.104, I 23

Crystal structure
```
data_Y4Tc
_space_group_name_H-M_alt 'P 1'
_space_group_IT_number 1
_space_group_name_Hall 'P 1'
_cell_length_a 5.4069
_cell_length_b 5.4069
_cell_length_c 5.4069
_cell_angle_alpha 90.00
_cell_angle_beta 90.00
_cell_angle_gamma 90.00
loop_
_atom_site_label
_atom_site_type_symbol
_atom_site_fract_x
_atom_site_fract_y
_atom_site_fract_z
Y1 Y 0.0000 0.0000 0.0000
Y2 Y 0.0000 0.5000 0.5000
Y3 Y 0.5000 0.0000 0.5000
Y4 Y 0.5000 0.5000 0.0000
Tc1 Tc 0.5000 0.5000 0.5000
```

***

Entry 6:
Structure and calculated X-ray powder pattern of Y2Tc (a DFT-relaxed cell (GGA-PBE, Alexandria); Cu Kα, 1.54184 Å).

Top 10 peaks for 10 to 90 degrees two-theta, by angle:
d 2.823, I 95
d 2.609, I 100
d 2.581, I 46
d 2.276, I 49
d 2.175, I 41
d 2.022, I 27
d 1.715, I 9
d 1.592, I 20
d 1.512, I 26
d 1.461, I 37

Crystal structure
```
data_Y2Tc
_space_group_name_H-M_alt 'P 1'
_space_group_IT_number 1
_space_group_name_Hall 'P 1'
_cell_length_a 7.8838
_cell_length_b 7.8838
_cell_length_c 4.0446
_cell_angle_alpha 90.00
_cell_angle_beta 90.00
_cell_angle_gamma 120.00
loop_
_atom_site_label
_atom_site_type_symbol
_atom_site_fract_x
_atom_site_fract_y
_atom_site_fract_z
Y1 Y 0.0000 0.2575 0.0000
Y2 Y 0.0000 0.5942 0.5000
Y3 Y 0.2575 0.0000 0.0000
Y4 Y 0.4058 0.4058 0.5000
Y5 Y 0.5942 0.0000 0.5000
Y6 Y 0.7425 0.7425 0.0000
Tc1 Tc 0.0000 0.0000 0.5000
Tc2 Tc 0.3333 0.6667 0.0000
Tc3 Tc 0.6667 0.3333 0.0000
```

***

Entry 7:
Structure and calculated X-ray powder pattern of YTc7 (a DFT-relaxed cell (GGA-PBE, Alexandria); Cu Kα, 1.54184 Å).

Top 5 peaks for 10 to 90 degrees two-theta, by angle:
d 2.298, I 100
d 1.990, I 48
d 1.407, I 30
d 1.200, I 36
d 1.149, I 10

Crystal structure
```
data_YTc7
_space_group_name_H-M_alt 'P 1'
_space_group_IT_number 1
_space_group_name_Hall 'P 1'
_cell_length_a 5.6280
_cell_length_b 5.6280
_cell_length_c 5.6280
_cell_angle_alpha 60.00
_cell_angle_beta 60.00
_cell_angle_gamma 60.00
loop_
_atom_site_label
_atom_site_type_symbol
_atom_site_fract_x
_atom_site_fract_y
_atom_site_fract_z
Y1 Y 0.0000 0.0000 0.0000
Tc1 Tc 0.0000 0.0000 0.5000
Tc2 Tc 0.0000 0.5000 0.0000
Tc3 Tc 0.0000 0.5000 0.5000
Tc4 Tc 0.5000 0.0000 0.0000
Tc5 Tc 0.5000 0.0000 0.5000
Tc6 Tc 0.5000 0.5000 0.0000
Tc7 Tc 0.5000 0.5000 0.5000
```

***

Entry 8:
Structure and calculated X-ray powder pattern of Y5Tc (a DFT-relaxed cell (GGA-PBE, Alexandria); Cu Kα, 1.54184 Å).

Top 10 peaks for 10 to 90 degrees two-theta, by angle:
d 8.291, I 9
d 2.764, I 10
d 2.706, I 100
d 2.461, I 8
d 2.266, I 10
d 1.933, I 9
d 1.896, I 8
d 1.562, I 17
d 1.552, I 8
d 1.201, I 6

Crystal structure
```
data_Y5Tc
_space_group_name_H-M_alt 'P 1'
_space_group_IT_number 1
_space_group_name_Hall 'P 1'
_cell_length_a 5.4078
_cell_length_b 3.7917
_cell_length_c 16.5827
_cell_angle_alpha 90.00
_cell_angle_beta 90.00
_cell_angle_gamma 90.00
loop_
_atom_site_label
_atom_site_type_symbol
_atom_site_fract_x
_atom_site_fract_y
_atom_site_fract_z
Y1 Y 0.0000 0.0000 0.0000
Y2 Y 0.0000 0.0000 0.2683
Y3 Y 0.0000 0.5000 0.5000
Y4 Y 0.0000 0.5000 0.7683
Y5 Y 0.5000 0.0000 0.1133
Y6 Y 0.5000 0.0000 0.4342
Y7 Y 0.5000 0.0000 0.7649
Y8 Y 0.5000 0.5000 0.2649
Y9 Y 0.5000 0.5000 0.6133
Y10 Y 0.5000 0.5000 0.9342
Tc1 Tc 0.0000 0.0000 0.6388
Tc2 Tc 0.0000 0.5000 0.1388
```